# 1
Structure and calculated powder X-ray diffraction pattern of Cu2S2I (a crystal structure in Alexandria, relaxed with PBE; Cu Kα (weighted mean of Kα1 and Kα2)).
No peak broadening, texture or thermal motion is included.

Main lines, by angle (10° ≤ 2θ ≤ 80°):
2theta  intensity
27.05  100
29.00  37
31.11  34
41.69  55
47.80  39
50.58  23
58.13  32
65.26  14

Atomic structure:
a = 3.806 Å, b = 3.806 Å, c = 8.626 Å
α = 90.00°, β = 90.00°, γ = 120.00°
Atoms (fractional coordinates):
Cu (0.000, 0.000, 0.197)
Cu (0.000, 0.000, 0.803)
S (0.333, 0.667, 0.124)
S (0.333, 0.667, 0.876)
I (0.000, 0.000, 0.500)

# 2
Structure and calculated powder X-ray diffraction pattern of Y2Zn3Pd4 (a crystal structure in Alexandria, relaxed with PBE; Cu Kα (weighted mean of Kα1 and Kα2)).
No peak broadening, texture or thermal motion is included.

Main lines, by angle (10° ≤ 2θ ≤ 80°):
2theta  intensity
35.73  73
36.10  42
37.23  42
37.61  28
39.84  100
43.01  28
61.40  17
66.62  19

Atomic structure:
a = 8.058 Å, b = 8.058 Å, c = 7.648 Å
α = 90.00°, β = 90.00°, γ = 139.23°
Atoms (fractional coordinates):
Y (0.113, 0.887, 0.919)
Y (0.387, 0.613, 0.419)
Y (0.613, 0.387, 0.581)
Y (0.887, 0.113, 0.081)
Zn (0.000, 0.000, 0.500)
Zn (0.023, 0.477, 0.750)
Zn (0.477, 0.023, 0.250)
Zn (0.500, 0.500, 0.000)
Zn (0.523, 0.977, 0.750)
Zn (0.977, 0.523, 0.250)
Pd (0.177, 0.823, 0.523)
Pd (0.193, 0.307, 0.750)
Pd (0.307, 0.193, 0.250)
Pd (0.323, 0.677, 0.023)
Pd (0.677, 0.323, 0.977)
Pd (0.693, 0.807, 0.750)
Pd (0.807, 0.693, 0.250)
Pd (0.823, 0.177, 0.477)

# 3
Structure and calculated powder X-ray diffraction pattern of Be8Ru (a crystal structure in Alexandria, relaxed with PBE; Cu Kα (weighted mean of Kα1 and Kα2)).
No peak broadening, texture or thermal motion is included.

Main lines, by angle (10° ≤ 2θ ≤ 80°):
2theta  intensity
16.14  61
24.70  100
29.65  65
34.94  63
43.49  30
48.54  44
50.45  36
53.52  21

Atomic structure:
a = 4.161 Å, b = 4.161 Å, c = 10.981 Å
α = 90.00°, β = 90.00°, γ = 120.00°
Atoms (fractional coordinates):
Be (0.000, 0.000, 0.000)
Be (0.000, 0.000, 0.343)
Be (0.000, 0.000, 0.657)
Be (0.167, 0.334, 0.182)
Be (0.167, 0.334, 0.818)
Be (0.167, 0.833, 0.182)
Be (0.167, 0.833, 0.818)
Be (0.333, 0.667, 0.372)
Be (0.333, 0.667, 0.628)
Be (0.341, 0.171, 0.500)
Be (0.666, 0.833, 0.182)
Be (0.666, 0.833, 0.818)
Be (0.667, 0.333, 0.097)
Be (0.667, 0.333, 0.903)
Be (0.829, 0.171, 0.500)
Be (0.829, 0.659, 0.500)
Ru (0.667, 0.333, 0.307)
Ru (0.667, 0.333, 0.693)

# 4
Structure and calculated powder X-ray diffraction pattern of K3AlSe3 (a crystal structure in Alexandria, relaxed with PBE; Cu Kα (weighted mean of Kα1 and Kα2)).
No peak broadening, texture or thermal motion is included.

Main lines, by angle (10° ≤ 2θ ≤ 80°):
2theta  intensity
26.31  89
27.52  67
28.38  100
29.09  48
29.41  66
29.89  79
34.31  61
34.68  47

Atomic structure:
a = 8.171 Å, b = 13.298 Å, c = 10.509 Å
α = 90.00°, β = 127.59°, γ = 90.00°
Atoms (fractional coordinates):
K (0.123, 0.119, 0.473)
K (0.123, 0.381, 0.973)
K (0.176, 0.103, 0.898)
K (0.176, 0.397, 0.398)
K (0.349, 0.687, 0.570)
K (0.349, 0.813, 0.070)
K (0.651, 0.187, 0.930)
K (0.651, 0.313, 0.430)
K (0.824, 0.603, 0.602)
K (0.824, 0.897, 0.102)
K (0.877, 0.619, 0.027)
K (0.877, 0.881, 0.527)
Al (0.442, 0.063, 0.341)
Al (0.442, 0.437, 0.841)
Al (0.558, 0.563, 0.159)
Al (0.558, 0.937, 0.659)
Se (0.174, 0.186, 0.199)
Se (0.174, 0.314, 0.699)
Se (0.329, 0.601, 0.868)
Se (0.329, 0.899, 0.368)
Se (0.370, 0.548, 0.264)
Se (0.370, 0.952, 0.764)
Se (0.630, 0.048, 0.236)
Se (0.630, 0.452, 0.736)
Se (0.671, 0.101, 0.632)
Se (0.671, 0.399, 0.132)
Se (0.826, 0.686, 0.301)
Se (0.826, 0.814, 0.801)

# 5
Structure and calculated powder X-ray diffraction pattern of Cs2Cu2BiS4 (a crystal structure in Alexandria, relaxed with PBE; Cu Kα (weighted mean of Kα1 and Kα2)).
No peak broadening, texture or thermal motion is included.

Main lines, by angle (10° ≤ 2θ ≤ 80°):
2theta  intensity
22.90  56
23.11  79
23.64  52
28.81  86
30.67  51
31.25  100
33.46  82
50.82  43

Atomic structure:
a = 7.874 Å, b = 7.874 Å, c = 8.140 Å
α = 108.35°, β = 108.35°, γ = 29.68°
Atoms (fractional coordinates):
Cs (0.135, 0.135, 0.049)
Cs (0.865, 0.865, 0.951)
Cu (0.313, 0.313, 0.511)
Cu (0.687, 0.687, 0.489)
Bi (0.000, 0.000, 0.500)
S (0.199, 0.199, 0.650)
S (0.468, 0.468, 0.718)
S (0.532, 0.532, 0.282)
S (0.801, 0.801, 0.350)

# 6
Structure and calculated powder X-ray diffraction pattern of LiYIr (a crystal structure in Alexandria, relaxed with PBE; Cu Kα (weighted mean of Kα1 and Kα2)).
No peak broadening, texture or thermal motion is included.

Main lines, by angle (10° ≤ 2θ ≤ 80°):
2theta  intensity
21.06  66
22.37  42
37.58  27
37.71  46
38.37  100
40.03  27
53.69  21
56.07  21

Atomic structure:
a = 4.505 Å, b = 5.813 Å, c = 8.438 Å
α = 90.00°, β = 90.00°, γ = 90.00°
Atoms (fractional coordinates):
Li (0.000, 0.250, 0.239)
Li (0.000, 0.750, 0.761)
Li (0.500, 0.250, 0.261)
Li (0.500, 0.750, 0.739)
Y (0.000, 0.250, 0.885)
Y (0.000, 0.750, 0.115)
Y (0.500, 0.250, 0.615)
Y (0.500, 0.750, 0.385)
Ir (0.000, 0.000, 0.500)
Ir (0.000, 0.500, 0.500)
Ir (0.500, 0.000, 0.000)
Ir (0.500, 0.500, 0.000)

# 7
Structure and calculated powder X-ray diffraction pattern of TbHo7Er5 (a crystal structure in Alexandria, relaxed with PBE; Cu Kα (weighted mean of Kα1 and Kα2)).
No peak broadening, texture or thermal motion is included.

Main lines, by angle (10° ≤ 2θ ≤ 80°):
2theta  intensity
27.80  37
31.21  50
31.34  76
31.51  51
31.99  100
35.31  98
36.25  35
58.39  42

Atomic structure:
a = 8.593 Å, b = 8.593 Å, c = 8.593 Å
α = 134.63°, β = 100.36°, γ = 96.75°
Atoms (fractional coordinates):
Tb (0.000, 0.000, 0.000)
Ho (0.226, 0.555, 0.672)
Ho (0.305, 0.805, 0.500)
Ho (0.307, 0.307, 0.000)
Ho (0.385, 0.056, 0.329)
Ho (0.614, 0.614, 0.000)
Ho (0.727, 0.056, 0.671)
Ho (0.883, 0.555, 0.328)
Er (0.033, 0.038, 0.460)
Er (0.033, 0.573, 0.995)
Er (0.577, 0.038, 0.005)
Er (0.577, 0.573, 0.540)
Er (0.805, 0.305, 0.500)

# 8
Structure and calculated powder X-ray diffraction pattern of Pm2MnCoGe6 (a crystal structure in Alexandria, relaxed with PBE; Cu Kα (weighted mean of Kα1 and Kα2)).
No peak broadening, texture or thermal motion is included.

Main lines, by angle (10° ≤ 2θ ≤ 80°):
2theta  intensity
24.08  52
28.69  29
32.68  100
36.76  91
39.12  27
44.38  31
49.31  76
65.89  29

Atomic structure:
a = 9.813 Å, b = 9.813 Å, c = 9.813 Å
α = 44.25°, β = 44.25°, γ = 44.25°
Atoms (fractional coordinates):
Pm (0.133, 0.133, 0.133)
Pm (0.290, 0.290, 0.290)
Pm (0.710, 0.710, 0.710)
Pm (0.867, 0.867, 0.867)
Mn (0.000, 0.000, 0.000)
Mn (0.500, 0.500, 0.500)
Co (0.398, 0.398, 0.398)
Co (0.602, 0.602, 0.602)
Ge (0.132, 0.609, 0.609)
Ge (0.207, 0.207, 0.730)
Ge (0.207, 0.730, 0.207)
Ge (0.270, 0.793, 0.793)
Ge (0.391, 0.391, 0.868)
Ge (0.391, 0.868, 0.391)
Ge (0.609, 0.132, 0.609)
Ge (0.609, 0.609, 0.132)
Ge (0.730, 0.207, 0.207)
Ge (0.793, 0.270, 0.793)
Ge (0.793, 0.793, 0.270)
Ge (0.868, 0.391, 0.391)